Starting from a cell relaxed with GGA+U, the X-ray powder pattern of KFe6H12S4O29 was computed for Cu Kα (weighted mean of Kα1 and Kα2).
Peak positions follow from Bragg's law for the DFT cell and can differ from measured ones.

Unit cell a=7.148 b=7.414 c=10.223 alpha=90.00 beta=92.95 gamma=90.00
Space group P2/m (No. 10)
Asymmetric unit:
1 K 0.000 0.000 0.000 (multiplicity 1)
2 Fe 0.000 0.500 0.500 (multiplicity 1)
3 Fe 0.266 0.249 0.254 (multiplicity 4)
4 Fe 0.500 0.000 0.000 (multiplicity 1)
5 H 0.038 0.000 0.313 (multiplicity 2)
6 H 0.197 0.212 0.497 (multiplicity 4)
7 H 0.324 0.287 0.010 (multiplicity 4)
8 H 0.500 0.500 0.207 (multiplicity 2)
9 S 0.101 0.500 0.812 (multiplicity 2)
10 S 0.371 0.000 0.698 (multiplicity 2)
11 O 0.014 0.335 0.164 (multiplicity 4)
12 O 0.155 0.500 0.673 (multiplicity 2)
13 O 0.157 0.000 0.268 (multiplicity 2)
14 O 0.172 0.309 0.432 (multiplicity 4)
15 O 0.196 0.000 0.615 (multiplicity 2)
16 O 0.271 0.500 0.899 (multiplicity 2)
17 O 0.323 0.000 0.839 (multiplicity 2)
18 O 0.345 0.187 0.073 (multiplicity 4)
19 O 0.374 0.500 0.241 (multiplicity 2)
20 O 0.481 0.165 0.669 (multiplicity 4)
21 O 0.500 0.500 0.500 (multiplicity 1)

Main lines, most intense first (2θ from 10° to 80°):
(1 2 1), d 3.109, intensity 1000
(1 2 -1), d 3.153, intensity 801
(1 1 0), d 5.142, intensity 767
(0 1 3), d 3.093, intensity 515
(1 0 1), d 5.714, intensity 432
(1 0 -3), d 3.135, intensity 397
(2 2 -4), d 1.846, intensity 367
(0 0 2), d 5.105, intensity 365
(0 1 1), d 5.998, intensity 337
(2 1 3), d 2.285, intensity 329